This entry pairs a crystal structure of Li4Mn5CoO12 with its theoretical X-ray diffraction stick pattern. Radiation: Cu Kα, 1.54184 Å. Structure: the PBE+U geometry in Alexandria.

Cell and atoms:
a b c (Å): 5.112 8.696 10.286
angles (deg): 90.00 100.97 90.00
Space group C2 (No. 5)
Unique sites:
Li  0.081  0.000  0.257 (multiplicity 4)
Li  0.099  0.662  0.256 (multiplicity 4)
Mn  0.000  0.162  0.500 (multiplicity 2)
Mn  0.000  0.492  0.500 (multiplicity 2)
Mn  0.000  0.664  0.000 (multiplicity 2)
Mn  0.000  0.830  0.500 (multiplicity 2)
Mn  0.000  0.998  0.000 (multiplicity 2)
Co  0.000  0.331  0.000 (multiplicity 2)
O  0.098  0.831  0.893 (multiplicity 4)
O  0.141  0.512  0.893 (multiplicity 4)
O  0.142  0.151  0.894 (multiplicity 4)
O  0.176  0.004  0.611 (multiplicity 4)
O  0.207  0.658  0.601 (multiplicity 4)
O  0.208  0.327  0.602 (multiplicity 4)

Top 10 peaks for 2θ from 10° to 90°, low angle first:
17.6 deg, rel. 100, (0 0 2)
35.8 deg, rel. 8, (2 0 0)
36.0 deg, rel. 15, (1 3 -1)
36.8 deg, rel. 8, (2 0 -2)
37.7 deg, rel. 14, (1 3 1)
42.8 deg, rel. 16, (1 3 -3)
45.9 deg, rel. 9, (2 0 -4)
47.2 deg, rel. 17, (1 3 3)
55.6 deg, rel. 11, (1 3 -5)
63.3 deg, rel. 10, (3 3 -1)